[1]
The following is a simulated powder diffraction line list of Er2Zn3GaPd2. It was derived from the GGA-PBE geometry in OQMD, using CuKα.
Intensities are scaled so that the largest is 100.

Atomic structure:
Lattice parameters (Å, degrees): 9.6562 4.3481 6.9943 90.00 90.18 90.00
Sites, in units of the cell vectors:
Er1 0.0000 0.0000 0.0000
Er2 0.1565 0.0000 0.4974
Er3 0.5000 0.5000 0.0000
Er4 0.6565 0.5000 0.4974
Zn1 0.2067 0.5000 0.8123
Zn2 0.2112 0.5000 0.1939
Zn3 0.4458 0.0000 0.3077
Zn4 0.7067 0.0000 0.8123
Zn5 0.7112 0.0000 0.1939
Zn6 0.9458 0.5000 0.3077
Ga1 0.4461 0.0000 0.6921
Ga2 0.9461 0.5000 0.6921
Pd1 0.2912 0.0000 0.9977
Pd2 0.3675 0.5000 0.5065
Pd3 0.7912 0.5000 0.9977
Pd4 0.8675 0.0000 0.5065

Principal peaks in the range 2θ from 10° to 80°, in order of rising 2θ:
2theta	Rel. int.
22.4	15
25.5	24
34.2	96
37.1	100
39.5	34
41.5	41
58.7	22
71.1	18
71.8	14
72.8	14

[2]
The following is a simulated powder diffraction line list of ErGa3Sb. It was derived from the GGA-PBE geometry in OQMD, using CuKα.
Intensities are scaled so that the largest is 100.

Atomic structure:
Lattice parameters (Å, degrees): 5.4393 5.4393 8.8823 90.00 90.00 120.00
Sites, in units of the cell vectors:
Er1 0.0000 0.0000 0.1863
Er2 0.0000 0.0000 0.8137
Ga1 0.0000 0.5000 0.3413
Ga2 0.0000 0.5000 0.6587
Ga3 0.5000 0.0000 0.3413
Ga4 0.5000 0.0000 0.6587
Ga5 0.5000 0.5000 0.3413
Ga6 0.5000 0.5000 0.6587
Sb1 0.3333 0.6667 0.0000
Sb2 0.6667 0.3333 0.0000

Principal peaks in the range 2θ from 10° to 80°, in order of rising 2θ:
2theta	Rel. int.
27.6	51
32.9	34
34.5	68
35.8	100
38.2	54
43.5	50
60.7	43
62.4	20
69.1	22
75.9	16

[3]
The following is a simulated powder diffraction line list of ErGa2Si2. It was derived from the GGA-PBE geometry in OQMD, using CuKα.
Intensities are scaled so that the largest is 100.

Atomic structure:
Lattice parameters (Å, degrees): 4.6012 4.6012 8.9047 90.00 90.00 90.00
Sites, in units of the cell vectors:
Er1 0.0000 0.0000 0.0000
Er2 0.5000 0.5000 0.5000
Ga1 0.0000 0.0000 0.3632
Ga2 0.0000 0.0000 0.6368
Ga3 0.5000 0.5000 0.1368
Ga4 0.5000 0.5000 0.8632
Si1 0.0000 0.5000 0.2500
Si2 0.0000 0.5000 0.7500
Si3 0.5000 0.0000 0.2500
Si4 0.5000 0.0000 0.7500

Principal peaks in the range 2θ from 10° to 80°, in order of rising 2θ:
2theta	Rel. int.
21.7	20
27.4	78
34.1	55
36.0	100
39.2	64
54.2	61
55.3	17
56.6	22
67.8	15
69.8	17

[4]
The following is a simulated powder diffraction line list of TbErGa3Si2. It was derived from the GGA-PBE geometry in OQMD, using CuKα.
Intensities are scaled so that the largest is 100.

Atomic structure:
Lattice parameters (Å, degrees): 10.2492 4.0532 6.5953 90.00 101.16 90.00
Sites, in units of the cell vectors:
Tb1 0.0000 0.0000 0.0000
Tb2 0.5000 0.5000 0.0000
Er1 0.2623 0.5000 0.3684
Er2 0.7623 0.0000 0.3684
Ga1 0.0775 0.0000 0.5433
Ga2 0.1849 0.5000 0.8232
Ga3 0.3797 0.0000 0.6829
Ga4 0.5775 0.5000 0.5433
Ga5 0.6849 0.0000 0.8232
Ga6 0.8797 0.5000 0.6829
Si1 0.2875 0.0000 0.0530
Si2 0.4751 0.0000 0.3188
Si3 0.7875 0.5000 0.0530
Si4 0.9751 0.5000 0.3188

Principal peaks in the range 2θ from 10° to 80°, in order of rising 2θ:
2theta	Rel. int.
23.7	22
28.3	27
34.7	49
35.3	100
35.4	20
35.7	49
39.4	39
41.0	21
44.7	29
58.5	23

[5]
The following is a simulated powder diffraction line list of Er2TaGa2. It was derived from the GGA-PBE geometry in OQMD, using CuKα.
Intensities are scaled so that the largest is 100.

Atomic structure:
Lattice parameters (Å, degrees): 7.1868 7.1868 4.1949 90.00 90.00 90.00
Sites, in units of the cell vectors:
Er1 0.1782 0.3218 0.0000
Er2 0.3218 0.8218 0.0000
Er3 0.6782 0.1782 0.0000
Er4 0.8218 0.6782 0.0000
Ta1 0.0000 0.0000 0.5000
Ta2 0.5000 0.5000 0.5000
Ga1 0.1283 0.6283 0.5000
Ga2 0.3717 0.1283 0.5000
Ga3 0.6283 0.8717 0.5000
Ga4 0.8717 0.3717 0.5000

Principal peaks in the range 2θ from 10° to 80°, in order of rising 2θ:
2theta	Rel. int.
27.6	24
32.8	74
35.2	100
35.3	20
39.7	49
43.1	26
57.2	19
58.8	17
60.0	29
70.5	15

[6]
The following is a simulated powder diffraction line list of Er4Ga12Tc. It was derived from the GGA-PBE geometry in OQMD, using CuKα.
Intensities are scaled so that the largest is 100.

Atomic structure:
Lattice parameters (Å, degrees): 7.4381 7.4381 7.4381 109.47 109.47 109.47
Sites, in units of the cell vectors:
Er1 0.0000 0.0000 0.5000
Er2 0.0000 0.5000 0.0000
Er3 0.5000 0.0000 0.0000
Er4 0.5000 0.5000 0.5000
Ga1 0.0000 0.2915 0.2915
Ga2 0.0000 0.7085 0.7085
Ga3 0.2500 0.5000 0.7500
Ga4 0.2500 0.7500 0.5000
Ga5 0.2915 0.0000 0.2915
Ga6 0.2915 0.2915 0.0000
Ga7 0.5000 0.2500 0.7500
Ga8 0.5000 0.7500 0.2500
Ga9 0.7085 0.0000 0.7085
Ga10 0.7085 0.7085 0.0000
Ga11 0.7500 0.2500 0.5000
Ga12 0.7500 0.5000 0.2500
Tc1 0.0000 0.0000 0.0000

Principal peaks in the range 2θ from 10° to 80°, in order of rising 2θ:
2theta	Rel. int.
20.7	9
29.4	35
36.2	100
39.2	9
42.1	63
52.2	11
61.0	38
69.2	10
73.1	31
76.9	11

[7]
The following is a simulated powder diffraction line list of Er2TlZn2Ga. It was derived from the GGA-PBE geometry in OQMD, using CuKα.
Intensities are scaled so that the largest is 100.

Atomic structure:
Lattice parameters (Å, degrees): 4.5325 4.5325 7.1874 90.00 90.00 120.00
Sites, in units of the cell vectors:
Er1 0.0000 0.0000 0.0000
Er2 0.0000 0.0000 0.4831
Tl1 0.6667 0.3333 0.7097
Zn1 0.3333 0.6667 0.8065
Zn2 0.6667 0.3333 0.2757
Ga1 0.3333 0.6667 0.2078

Principal peaks in the range 2θ from 10° to 80°, in order of rising 2θ:
2theta	Rel. int.
12.3	6
22.7	13
25.9	19
33.8	100
39.8	64
44.3	12
53.2	28
66.4	16
68.4	26
72.2	11

[8]
The following is a simulated powder diffraction line list of ErTmGa4. It was derived from the GGA-PBE geometry in OQMD, using CuKα.
Intensities are scaled so that the largest is 100.

Atomic structure:
Lattice parameters (Å, degrees): 4.2966 4.2687 13.2698 90.00 90.00 90.00
Sites, in units of the cell vectors:
Er1 0.0000 0.0000 0.0000
Er2 0.0000 0.5000 0.5000
Tm1 0.0000 0.0000 0.3033
Tm2 0.0000 0.5000 0.8033
Ga1 0.0000 0.0000 0.6520
Ga2 0.0000 0.5000 0.1520
Ga3 0.5000 0.0000 0.1521
Ga4 0.5000 0.0000 0.4749
Ga5 0.5000 0.0000 0.8276
Ga6 0.5000 0.5000 0.3276
Ga7 0.5000 0.5000 0.6521
Ga8 0.5000 0.5000 0.9749

Principal peaks in the range 2θ from 10° to 80°, in order of rising 2θ:
2theta	Rel. int.
35.9	100
40.8	15
42.1	17
42.3	17
60.0	9
60.3	9
61.2	11
72.9	12
73.3	12
76.2	9

> What is the formula in the seventh record?

Er2TlZn2Ga